Pr2Sm5Tm: simulated powder diffractogram (Cu Kα (λ = 1.5418 Å)), based on DFT lattice parameters and positions (PBE).
Kinematic intensities with the Lorentz-polarization factor, no thermal factor.

Top 9 peaks for 10 to 80 degrees two-theta, in order of falling intensity:
- 30.14 deg, I 100, (2 0 0)
- 59.71 deg, I 39, (3 2 -3)
- 50.25 deg, I 36, (3 0 -4)
- 34.94 deg, I 34, (-2 2 1)
- 34.96 deg, I 17, (1 2 -3)
- 62.65 deg, I 9, (4 0 0)
- 73.80 deg, I 6, (2 4 -6)
- 59.77 deg, I 4, (0 4 -6)
- 62.71 deg, I 3, (2 -4 6)

Cell and atoms:
```
data_Pr2Sm5Tm
_symmetry_space_group_name_H-M 'P -1'
_symmetry_Int_Tables_number 2
_symmetry_space_group_name_Hall '-P 1'
_cell_length_a 6.294
_cell_length_b 7.256
_cell_length_c 13.092
_cell_angle_alpha 106.06
_cell_angle_beta 94.59
_cell_angle_gamma 106.75
loop_
_atom_site_label
_atom_site_fract_x
_atom_site_fract_y
_atom_site_fract_z
Pr1 0.245 0.090 0.309
Pr2 0.251 0.469 0.565
Sm1 0.248 0.592 0.309
Sm2 0.249 0.218 0.061
Sm3 0.251 0.970 0.563
Sm4 0.254 0.846 0.816
Sm5 0.255 0.347 0.817
Tm1 0.246 0.716 0.061
```